Computed powder diffractogram
Compound: Tm5ThTe4
Radiation: Cu Kα (λ = 1.5418 Å)
Structure: a crystal structure in Alexandria, relaxed with PBE
Peak positions follow from Bragg's law for the DFT cell and can differ from measured ones.

Top 10 peaks for 15 to 90 degrees two-theta, most intense first:
d 2.956, rel. 100, hkl 0 3 1; d 2.486, rel. 57, hkl 2 2 2; d 3.626, rel. 41, hkl 2 1 1; d 2.441, rel. 39, hkl 0 3 2; d 2.832, rel. 39, hkl 3 0 1; d 3.912, rel. 34, hkl 2 0 1; d 2.217, rel. 24, hkl 3 3 0; d 2.494, rel. 24, hkl 0 0 3; d 2.138, rel. 22, hkl 2 1 3; d 1.732, rel. 20, hkl 2 0 4

Structural model:
```
data_Tm5ThTe4
_chemical_formula_sum 'Tm10 Th2 Te8'
_symmetry_space_group_name_H-M 'P m m n'
_symmetry_Int_Tables_number 59
_cell_length_a 9.179
_cell_length_b 9.654
_cell_length_c 7.482
_cell_angle_alpha 90.00
_cell_angle_beta 90.00
_cell_angle_gamma 90.00
loop_
_symmetry_equiv_pos_as_xyz
'x,y,z'
'-x,-y,-z'
'-x+1/2,-y+1/2,z'
'x+1/2,y+1/2,-z'
'x+1/2,-y,-z'
'-x+1/2,y,z'
'-x,y+1/2,-z'
'x,-y+1/2,z'
loop_
_atom_site_label
_atom_site_fract_x
_atom_site_fract_y
_atom_site_fract_z
Tm1 0.065 0.064 0.213
Tm2 0.250 0.750 0.213
Th1 0.250 0.250 0.836
Te1 0.000 0.250 0.534
Te2 0.250 0.560 0.896
```

=====

Computed powder diffractogram
Compound: Ac4SnGe
Radiation: Cu Kα (λ = 1.5418 Å)
Structure: a crystal structure in Alexandria, relaxed with PBE
Peak positions follow from Bragg's law for the DFT cell and can differ from measured ones.

Top 10 peaks for 15 to 90 degrees two-theta, most intense first:
d 3.564, rel. 100, hkl 2 1 0; d 3.546, rel. 74, hkl 0 2 1; d 3.528, rel. 52, hkl 1 0 2; d 2.114, rel. 45, hkl 1 2 3; d 2.396, rel. 44, hkl 1 1 -3; d 3.249, rel. 39, hkl 1 1 -2; d 2.121, rel. 30, hkl 2 3 1; d 3.235, rel. 29, hkl 1 2 1; d 3.263, rel. 26, hkl 2 1 -1; d 2.127, rel. 20, hkl 2 3 -1

Structural model:
```
data_Ac4SnGe
_chemical_formula_sum 'Ac8 Sn2 Ge2'
_symmetry_space_group_name_H-M 'P 1 21/c 1'
_symmetry_Int_Tables_number 14
_cell_length_a 7.980
_cell_length_b 7.934
_cell_length_c 7.915
_cell_angle_alpha 90.00
_cell_angle_beta 90.69
_cell_angle_gamma 90.00
loop_
_symmetry_equiv_pos_as_xyz
'x,y,z'
'-x,-y,-z'
'-x,y+1/2,-z+1/2'
'x,-y+1/2,z+1/2'
loop_
_atom_site_label
_atom_site_fract_x
_atom_site_fract_y
_atom_site_fract_z
Ac1 0.154 0.169 0.176
Ac2 0.328 0.656 0.149
Sn1 0.500 0.000 0.000
Ge1 0.000 0.000 0.500
```

=====

Computed powder diffractogram
Compound: Pa4Ge3Se
Radiation: Cu Kα (λ = 1.5418 Å)
Structure: a crystal structure in Alexandria, relaxed with PBE
Peak positions follow from Bragg's law for the DFT cell and can differ from measured ones.

Top 10 peaks for 15 to 90 degrees two-theta, most intense first:
d 2.913, rel. 100, hkl 2 0 1; d 2.060, rel. 51, hkl 2 4 1; d 1.303, rel. 23, hkl 4 4 2; d 3.371, rel. 23, hkl 0 2 1; d 3.356, rel. 23, hkl 2 2 0; d 1.686, rel. 14, hkl 0 4 2; d 1.678, rel. 13, hkl 4 4 0; d 2.067, rel. 13, hkl 0 0 2; d 1.457, rel. 13, hkl 4 0 2; d 2.053, rel. 13, hkl 4 0 0

Structural model:
```
data_Pa4Ge3Se
_chemical_formula_sum 'Pa8 Ge6 Se2'
_symmetry_space_group_name_H-M 'C m m m'
_symmetry_Int_Tables_number 65
_symmetry_space_group_name_Hall '-C 2 2'
_cell_length_a 8.212
_cell_length_b 11.653
_cell_length_c 4.133
_cell_angle_alpha 90.00
_cell_angle_beta 90.00
_cell_angle_gamma 90.00
loop_
_atom_site_label
_atom_site_fract_x
_atom_site_fract_y
_atom_site_fract_z
Pa1 0.000 0.249 0.000
Pa2 0.248 0.000 0.500
Ge1 0.000 0.000 0.000
Ge2 0.250 0.250 0.500
Se1 0.000 0.500 0.000
```

=====

Computed powder diffractogram
Compound: AcTiOsO6
Radiation: Cu Kα (λ = 1.5418 Å)
Structure: a crystal structure in Alexandria, relaxed with PBE
Peak positions follow from Bragg's law for the DFT cell and can differ from measured ones.

Top 10 peaks for 15 to 90 degrees two-theta, most intense first:
d 3.474, rel. 100, hkl 1 0 2; d 1.879, rel. 37, hkl 1 1 4; d 2.626, rel. 34, hkl 1 1 0; d 2.095, rel. 23, hkl 2 0 2; d 1.637, rel. 23, hkl 2 1 2; d 4.189, rel. 19, hkl 1 0 1; d 1.669, rel. 12, hkl 1 0 6; d 1.516, rel. 10, hkl 3 0 0; d 2.691, rel. 10, hkl 0 0 4; d 1.228, rel. 9, hkl 4 -1 2

Structural model:
```
data_AcTiOsO6
_chemical_formula_sum 'Ac2 Ti2 Os2 O12'
_symmetry_space_group_name_H-M 'P -3 1 c'
_symmetry_Int_Tables_number 163
_symmetry_space_group_name_Hall '-P 3 2c'
_cell_length_a 5.2515
_cell_length_b 5.2515
_cell_length_c 10.7630
_cell_angle_alpha 90.00
_cell_angle_beta 90.00
_cell_angle_gamma 120.00
loop_
_atom_site_label
_atom_site_fract_x
_atom_site_fract_y
_atom_site_fract_z
Ac1 0.0000 0.0000 0.0000
Ti1 0.3333 0.6667 0.2500
Os1 0.3333 0.6667 0.7500
O1 0.9998 0.3753 0.1477
```

=====

Computed powder diffractogram
Compound: Rb2TaH2O6
Radiation: Cu Kα (λ = 1.5418 Å)
Structure: a crystal structure in Alexandria, relaxed with PBE
Peak positions follow from Bragg's law for the DFT cell and can differ from measured ones.

Top 10 peaks for 15 to 90 degrees two-theta, most intense first:
d 3.719, rel. 100, hkl 0 1 1; d 2.630, rel. 78, hkl 1 0 2; d 1.663, rel. 44, hkl 1 1 3; d 2.146, rel. 29, hkl 2 0 1; d 1.517, rel. 20, hkl 2 1 2; d 1.239, rel. 16, hkl 3 0 3; d 1.860, rel. 14, hkl 0 2 2; d 4.550, rel. 12, hkl 1 0 0; d 1.521, rel. 9, hkl 0 1 4; d 2.037, rel. 8, hkl 1 1 2

Structural model:
```
data_Rb2TaH2O6
_chemical_formula_sum 'Rb2 Ta1 H2 O6'
_symmetry_space_group_name_H-M 'P -3 m 1'
_symmetry_Int_Tables_number 164
_symmetry_space_group_name_Hall '-P 3 2"'
_cell_length_a 5.2542
_cell_length_b 5.2542
_cell_length_c 6.4545
_cell_angle_alpha 90.00
_cell_angle_beta 90.00
_cell_angle_gamma 120.00
loop_
_atom_site_label
_atom_site_fract_x
_atom_site_fract_y
_atom_site_fract_z
Rb1 0.3333 0.6667 0.3582
Ta1 0.0000 0.0000 0.0000
H1 0.3333 0.6667 0.8258
O1 0.1788 0.3575 0.8193
```

=====

Computed powder diffractogram
Compound: Pm4PbS2N
Radiation: Cu Kα (λ = 1.5418 Å)
Structure: a crystal structure in Alexandria, relaxed with PBE
Peak positions follow from Bragg's law for the DFT cell and can differ from measured ones.

Top 10 peaks for 15 to 90 degrees two-theta, most intense first:
d 3.037, rel. 100, hkl 2 1 1; d 3.197, rel. 76, hkl 1 1 2; d 2.542, rel. 30, hkl 1 0 3; d 2.337, rel. 30, hkl 3 0 1; d 2.012, rel. 29, hkl 3 1 2; d 1.625, rel. 28, hkl 3 2 3; d 5.176, rel. 27, hkl 1 1 0; d 2.588, rel. 27, hkl 2 2 0; d 1.735, rel. 27, hkl 4 1 1; d 2.720, rel. 23, hkl 2 0 2

Structural model:
```
data_Pm4PbS2N
_chemical_formula_sum 'Pm8 Pb2 S4 N2'
_symmetry_space_group_name_H-M 'I -4 2 m'
_symmetry_Int_Tables_number 121
_symmetry_space_group_name_Hall 'I -4 2'
_cell_length_a 7.320
_cell_length_b 7.320
_cell_length_c 8.132
_cell_angle_alpha 90.00
_cell_angle_beta 90.00
_cell_angle_gamma 90.00
loop_
_atom_site_label
_atom_site_fract_x
_atom_site_fract_y
_atom_site_fract_z
Pm1 0.185 0.185 0.336
Pb1 0.000 0.000 0.000
S1 0.000 0.500 0.250
N1 0.000 0.000 0.500
```

=====

Computed powder diffractogram
Compound: Be2BiSeO8
Radiation: Cu Kα (λ = 1.5418 Å)
Structure: a crystal structure in Alexandria, relaxed with PBE
Peak positions follow from Bragg's law for the DFT cell and can differ from measured ones.

Top 10 peaks for 15 to 90 degrees two-theta, most intense first:
d 4.072, rel. 100, hkl 1 0 0; d 2.575, rel. 61, hkl 1 0 2; d 1.919, rel. 38, hkl 2 -1 2; d 2.351, rel. 26, hkl 1 1 0; d 2.216, rel. 26, hkl 0 0 3; d 1.539, rel. 25, hkl 1 0 4; d 1.736, rel. 21, hkl 0 2 2; d 1.357, rel. 21, hkl 3 0 0; d 1.397, rel. 21, hkl 3 -2 2; d 3.472, rel. 20, hkl 1 0 1

Structural model:
```
data_Be2BiSeO8
_chemical_formula_sum 'Be2 Bi1 Se1 O8'
_symmetry_space_group_name_H-M 'P -3'
_symmetry_Int_Tables_number 147
_cell_length_a 4.7014
_cell_length_b 4.7014
_cell_length_c 6.6505
_cell_angle_alpha 90.00
_cell_angle_beta 90.00
_cell_angle_gamma 120.00
loop_
_symmetry_equiv_pos_as_xyz
'x,y,z'
'-x,-y,-z'
'-y,x-y,z'
'y,-x+y,-z'
'-x+y,-x,z'
'x-y,x,-z'
loop_
_atom_site_label
_atom_site_fract_x
_atom_site_fract_y
_atom_site_fract_z
Be1 0.3333 0.6667 0.2173
Bi1 0.0000 0.0000 0.5000
Se1 0.0000 0.0000 0.0000
O1 0.0234 0.3137 0.1658
O2 0.3333 0.6667 0.4660
```

=====

Computed powder diffractogram
Compound: InCuAu6
Radiation: Cu Kα (λ = 1.5418 Å)
Structure: a crystal structure in Alexandria, relaxed with PBE
Peak positions follow from Bragg's law for the DFT cell and can differ from measured ones.

Top 10 peaks for 15 to 90 degrees two-theta, most intense first:
d 2.397, rel. 100, hkl 1 2 2; d 2.120, rel. 18, hkl 2 0 0; d 2.143, rel. 18, hkl 0 0 4; d 1.271, rel. 14, hkl 3 2 2; d 1.281, rel. 13, hkl 1 2 6; d 1.976, rel. 13, hkl 0 4 0; d 1.507, rel. 12, hkl 2 0 4; d 1.198, rel. 10, hkl 2 4 4; d 1.446, rel. 9, hkl 2 4 0; d 1.453, rel. 9, hkl 0 4 4

Structural model:
```
data_InCuAu6
_chemical_formula_sum 'In2 Cu2 Au12'
_symmetry_space_group_name_H-M 'A m m 2'
_symmetry_Int_Tables_number 38
_cell_length_a 4.241
_cell_length_b 7.904
_cell_length_c 8.573
_cell_angle_alpha 90.00
_cell_angle_beta 90.00
_cell_angle_gamma 90.00
loop_
_symmetry_equiv_pos_as_xyz
'x,y,z'
'-x,-y,z'
'-x,y,z'
'x,-y,z'
'x,y+1/2,z+1/2'
'-x,-y+1/2,z+1/2'
'-x,y+1/2,z+1/2'
'x,-y+1/2,z+1/2'
loop_
_atom_site_label
_atom_site_fract_x
_atom_site_fract_y
_atom_site_fract_z
In1 0.000 0.000 0.000
Cu1 0.500 0.000 0.717
Au1 0.000 0.000 0.474
Au2 0.000 0.221 0.738
Au3 0.500 0.000 0.234
Au4 0.500 0.250 0.483
```

=====

Computed powder diffractogram
Compound: HgPdCl6
Radiation: Cu Kα (λ = 1.5418 Å)
Structure: a crystal structure in Alexandria, relaxed with PBE
Peak positions follow from Bragg's law for the DFT cell and can differ from measured ones.

Top 10 peaks for 15 to 90 degrees two-theta, most intense first:
d 4.756, rel. 100, hkl 1 1 -1; d 5.622, rel. 81, hkl 0 2 0; d 2.644, rel. 55, hkl 1 3 1; d 3.540, rel. 40, hkl 1 1 1; d 2.625, rel. 27, hkl 2 0 -2; d 1.867, rel. 26, hkl 2 0 2; d 2.067, rel. 19, hkl 2 4 0; d 1.857, rel. 17, hkl 1 3 -3; d 2.378, rel. 17, hkl 2 2 -2; d 2.682, rel. 17, hkl 2 2 0

Structural model:
```
data_HgPdCl6
_chemical_formula_sum 'Hg2 Pd2 Cl12'
_symmetry_space_group_name_H-M 'C 1 2/m 1'
_symmetry_Int_Tables_number 12
_cell_length_a 6.463
_cell_length_b 11.244
_cell_length_c 6.416
_cell_angle_alpha 90.00
_cell_angle_beta 109.22
_cell_angle_gamma 90.00
loop_
_symmetry_equiv_pos_as_xyz
'x,y,z'
'-x,-y,-z'
'-x,y,-z'
'x,-y,z'
'x+1/2,y+1/2,z'
'-x+1/2,-y+1/2,-z'
'-x+1/2,y+1/2,-z'
'x+1/2,-y+1/2,z'
loop_
_atom_site_label
_atom_site_fract_x
_atom_site_fract_y
_atom_site_fract_z
Hg1 0.000 0.000 0.000
Pd1 0.000 0.500 0.500
Cl1 0.222 0.353 0.726
Cl2 0.227 0.500 0.277
```

=====

Computed powder diffractogram
Compound: PrSm4Bi5
Radiation: Cu Kα (λ = 1.5418 Å)
Structure: a crystal structure in Alexandria, relaxed with PBE
Peak positions follow from Bragg's law for the DFT cell and can differ from measured ones.

Top 10 peaks for 15 to 90 degrees two-theta, most intense first:
d 3.234, rel. 100, hkl 1 0 5; d 2.287, rel. 79, hkl 2 0 0; d 1.447, rel. 38, hkl 3 0 5; d 1.867, rel. 29, hkl 2 2 0; d 1.320, rel. 28, hkl 3 2 5; d 1.617, rel. 14, hkl 0 4 0; d 1.144, rel. 8, hkl 4 0 0; d 3.735, rel. 5, hkl 1 1 0; d 1.950, rel. 3, hkl 1 3 0; d 1.143, rel. 2, hkl 0 0 20

Structural model:
```
data_PrSm4Bi5
_chemical_formula_sum 'Pr2 Sm8 Bi10'
_symmetry_space_group_name_H-M 'I m m m'
_symmetry_Int_Tables_number 71
_symmetry_space_group_name_Hall '-I 2 2'
_cell_length_a 4.578
_cell_length_b 6.466
_cell_length_c 22.863
_cell_angle_alpha 90.00
_cell_angle_beta 90.00
_cell_angle_gamma 90.00
loop_
_atom_site_label
_atom_site_fract_x
_atom_site_fract_y
_atom_site_fract_z
Pr1 0.000 0.000 0.000
Sm1 0.000 0.000 0.201
Sm2 0.000 0.000 0.400
Bi1 0.000 0.500 0.000
Bi2 0.000 0.500 0.200
Bi3 0.000 0.500 0.398
```

=====

Computed powder diffractogram
Compound: BaCaHg2F8
Radiation: Cu Kα (λ = 1.5418 Å)
Structure: a crystal structure in Alexandria, relaxed with PBE
Peak positions follow from Bragg's law for the DFT cell and can differ from measured ones.

Top 10 peaks for 15 to 90 degrees two-theta, most intense first:
d 3.336, rel. 100, hkl 1 1 2; d 2.043, rel. 61, hkl 2 2 0; d 1.740, rel. 31, hkl 3 1 2; d 5.165, rel. 24, hkl 1 0 1; d 2.885, rel. 18, hkl 2 0 0; d 1.745, rel. 16, hkl 1 1 6; d 1.326, rel. 13, hkl 3 1 6; d 1.179, rel. 12, hkl 4 2 4; d 2.896, rel. 9, hkl 0 0 4; d 2.519, rel. 9, hkl 2 1 1

Structural model:
```
data_BaCaHg2F8
_chemical_formula_sum 'Ba2 Ca2 Hg4 F16'
_symmetry_space_group_name_H-M 'I -4 m 2'
_symmetry_Int_Tables_number 119
_symmetry_space_group_name_Hall 'I -4 -2'
_cell_length_a 5.770
_cell_length_b 5.770
_cell_length_c 11.585
_cell_angle_alpha 90.00
_cell_angle_beta 90.00
_cell_angle_gamma 90.00
loop_
_atom_site_label
_atom_site_fract_x
_atom_site_fract_y
_atom_site_fract_z
Ba1 0.000 0.000 0.000
Ca1 0.000 0.500 0.250
Hg1 0.000 0.000 0.500
Hg2 0.000 0.500 0.750
F1 0.233 0.242 0.367
```

=====

Computed powder diffractogram
Compound: RbNaTl2I4
Radiation: Cu Kα (λ = 1.5418 Å)
Structure: a crystal structure in Alexandria, relaxed with PBE
Peak positions follow from Bragg's law for the DFT cell and can differ from measured ones.

Top 10 peaks for 15 to 90 degrees two-theta, most intense first:
d 3.538, rel. 100, hkl 1 1 1; d 2.502, rel. 52, hkl 1 1 -3; d 1.582, rel. 24, hkl 0 2 4; d 2.038, rel. 14, hkl 2 2 -2; d 4.263, rel. 14, hkl 2 0 -1; d 2.048, rel. 14, hkl 0 0 4; d 1.441, rel. 14, hkl 1 3 -3; d 1.769, rel. 13, hkl 2 2 2; d 2.493, rel. 13, hkl 0 2 0; d 2.512, rel. 13, hkl 2 0 2

Structural model:
```
data_RbNaTl2I4
_chemical_formula_sum 'Rb1 Na1 Tl2 I4'
_symmetry_space_group_name_H-M 'P 1 2/m 1'
_symmetry_Int_Tables_number 10
_cell_length_a 8.676
_cell_length_b 4.985
_cell_length_c 8.680
_cell_angle_alpha 90.00
_cell_angle_beta 109.26
_cell_angle_gamma 90.00
loop_
_symmetry_equiv_pos_as_xyz
'x,y,z'
'-x,-y,-z'
'-x,y,-z'
'x,-y,z'
loop_
_atom_site_label
_atom_site_fract_x
_atom_site_fract_y
_atom_site_fract_z
Rb1 0.000 0.000 0.000
Na1 0.500 0.500 0.000
Tl1 0.000 0.500 0.500
Tl2 0.500 0.000 0.500
I1 0.268 0.000 0.761
I2 0.268 0.500 0.246
```